# 1
Theoretical X-ray diffraction stick pattern of Nd2Rh2Pb for CuKα, from DFT lattice parameters and positions (PBE).
Peak positions follow from Bragg's law for the DFT cell and can differ from measured ones.

Atomic structure:
Cell lengths 5.7005, 5.7005, 5.7005 Å; angles 132.52, 116.27, 83.20 degrees
Positions (direct):
Nd 0.2070 0.2070 0.0000
Nd 0.7930 0.7930 0.0000
Rh 0.2197 0.5000 0.7197
Rh 0.7803 0.5000 0.2803
Pb 0.5000 0.0000 0.5000

Largest 10 diffraction maxima, sorted by position, 15 to 90 degrees two-theta:
two_theta, Rel. int.
32.29, 100
34.91, 23
37.25, 71
39.25, 30
42.41, 15
53.53, 14
56.11, 13
66.21, 25
66.79, 12
70.61, 13

=====

# 2
Theoretical X-ray diffraction stick pattern of NdRh3Pb3 for CuKα, from DFT lattice parameters and positions (PBE).
Peak positions follow from Bragg's law for the DFT cell and can differ from measured ones.

Atomic structure:
Cell lengths 7.3003, 7.3003, 7.3003 Å; angles 70.90, 70.90, 70.90 degrees
Positions (direct):
Nd 0.1681 0.1681 0.1681
Nd 0.8319 0.8319 0.8319
Rh 0.0792 0.7942 0.4448
Rh 0.2058 0.5552 0.9208
Rh 0.4448 0.0792 0.7942
Rh 0.5552 0.9208 0.2058
Rh 0.7942 0.4448 0.0792
Rh 0.9208 0.2058 0.5552
Pb 0.1153 0.3844 0.6851
Pb 0.3149 0.8847 0.6156
Pb 0.3844 0.6851 0.1153
Pb 0.6156 0.3149 0.8847
Pb 0.6851 0.1153 0.3844
Pb 0.8847 0.6156 0.3149

Largest 10 diffraction maxima, sorted by position, 15 to 90 degrees two-theta:
two_theta, Rel. int.
20.98, 40
26.71, 45
32.78, 27
34.18, 27
36.77, 97
39.47, 100
54.91, 14
55.04, 26
68.03, 18
73.34, 20

=====

# 3
Theoretical X-ray diffraction stick pattern of Nd5RuPb2 for CuKα, from DFT lattice parameters and positions (PBE).
Peak positions follow from Bragg's law for the DFT cell and can differ from measured ones.

Atomic structure:
Cell lengths 8.2906, 12.5709, 4.7213 Å; angles 90.00, 90.00, 90.00 degrees
Positions (direct):
Nd 0.0000 0.0000 0.0000
Nd 0.1313 0.3003 0.0000
Nd 0.1866 0.5658 0.5000
Nd 0.3134 0.0658 0.5000
Nd 0.3687 0.8003 0.0000
Nd 0.5000 0.5000 0.0000
Nd 0.6313 0.1997 0.0000
Nd 0.6866 0.9342 0.5000
Nd 0.8134 0.4342 0.5000
Nd 0.8687 0.6997 0.0000
Ru 0.0000 0.5000 0.0000
Ru 0.5000 0.0000 0.0000
Pb 0.0804 0.8276 0.5000
Pb 0.4196 0.3276 0.5000
Pb 0.5804 0.6724 0.5000
Pb 0.9196 0.1724 0.5000

Largest 10 diffraction maxima, sorted by position, 15 to 90 degrees two-theta:
two_theta, Rel. int.
29.54, 100
30.40, 56
30.49, 74
32.07, 51
34.28, 20
35.48, 19
38.12, 44
42.15, 17
49.52, 29
63.45, 15